Structure and theoretical X-ray diffraction stick pattern of Na2CdO2 (a DFT-relaxed cell (PBE, Alexandria); copper Kα).
Kinematic intensities with the Lorentz-polarization factor, no thermal factor.

Principal peaks in the range 2θ = 10–90°, most intense first:
2theta	I_rel
23.11	100
32.97	42
31.27	40
32.38	36
21.55	31
40.01	30
13.43	29
39.02	27
48.25	20
57.10	20
50.74	18
30.86	17

Crystal structure
```
data_Na2CdO2
_cell_length_a 6.250
_cell_length_b 6.250
_cell_length_c 7.525
_cell_angle_alpha 116.73
_cell_angle_beta 116.73
_cell_angle_gamma 42.27
_symmetry_space_group_name_H-M 'P 1'
_symmetry_Int_Tables_number 1
loop_
_symmetry_equiv_pos_as_xyz
'x,y,z'
loop_
_atom_site_label
_atom_site_type_symbol
_atom_site_fract_x
_atom_site_fract_y
_atom_site_fract_z
Na1 Na 0.020 0.020 0.208
Na2 Na 0.335 0.335 0.969
Na3 Na 0.665 0.665 0.031
Na4 Na 0.980 0.980 0.792
Cd1 Cd 0.346 0.346 0.393
Cd2 Cd 0.654 0.654 0.607
O1 O 0.182 0.182 0.112
O2 O 0.485 0.485 0.698
O3 O 0.515 0.515 0.302
O4 O 0.818 0.818 0.888
```